Mg14CrBi: theoretical XRD peak list (CuKα), based on a structure optimized by DFT (GGA-PBE).

Main lines, by intensity (10° ≤ 2θ ≤ 80°):
(2 0 2), 36.96°, I = 100
(1 0 0), 16.12°, I = 54
(1 0 2), 23.52°, I = 46
(1 0 1), 18.24°, I = 41
(2 0 0), 32.56°, I = 31
(0 0 4), 34.43°, I = 26
(2 0 4), 48.12°, I = 20
(1 1 2), 33.04°, I = 20

Structure:
a = 6.3508 Å, b = 6.3508 Å, c = 10.4183 Å
α = 90.00°, β = 90.00°, γ = 120.00°
Space group P-6m2 (No. 187)
Asymmetric unit:
1 Mg 0.0000 0.0000 0.2488
2 Mg 0.0005 0.5002 0.2403
3 Mg 0.3318 0.1659 0.5000
4 Mg 0.3327 0.1664 0.0000
5 Cr 0.3333 0.6667 0.0000
6 Bi 0.3333 0.6667 0.5000

ThFe2Si2: theoretical XRD peak list (CuKα), based on a structure optimized by DFT (GGA-PBE).

Main lines, by intensity (10° ≤ 2θ ≤ 80°):
(1 1 2), 36.65°, I = 100
(1 0 1), 23.92°, I = 90
(1 0 3), 35.83°, I = 71
(2 0 0), 44.93°, I = 40
(2 1 3), 58.75°, I = 35
(2 1 1), 51.53°, I = 25
(3 1 2), 77.39°, I = 22
(1 1 6), 67.09°, I = 20

Structure:
a = 4.0350 Å, b = 4.0350 Å, c = 9.5954 Å
α = 90.00°, β = 90.00°, γ = 90.00°
Space group I4/mmm (No. 139)
Asymmetric unit:
1 Th 0.0000 0.0000 0.0000
2 Fe 0.0000 0.5000 0.2500
3 Si 0.0000 0.0000 0.3621